Record 1
Structure and theoretical X-ray powder pattern of Tb2Ho13 (a DFT-relaxed cell (GGA-PBE, Alexandria); Cu Ka).
Neutral-atom scattering factors, no anomalous dispersion.

Largest 8 diffraction maxima, in order of rising 2θ, 2θ from 10° to 90°:
- 2θ = 29.8°, 3.000 Å, intensity 100.0, hkl 0 2 1
- 2θ = 31.3°, 2.855 Å, intensity 60.6, hkl 0 0 12
- 2θ = 31.5°, 2.841 Å, intensity 61.9, hkl 0 2 4
- 2θ = 32.5°, 2.757 Å, intensity 94.2, hkl 2 0 5
- 2θ = 35.0°, 2.565 Å, intensity 78.6, hkl 0 2 7
- 2θ = 36.5°, 2.463 Å, intensity 35.7, hkl 2 0 8
- 2θ = 52.6°, 1.739 Å, intensity 58.9, hkl 2 2 0
- 2θ = 62.6°, 1.485 Å, intensity 59.4, hkl 2 2 12

Crystal structure
```
data_Tb2Ho13
_symmetry_space_group_name_H-M 'R -3 m'
_symmetry_Int_Tables_number 166
_symmetry_space_group_name_Hall '-R 3 2"'
_cell_length_a 6.9544
_cell_length_b 6.9544
_cell_length_c 34.2544
_cell_angle_alpha 90.00
_cell_angle_beta 90.00
_cell_angle_gamma 120.00
loop_
_atom_site_label
_atom_site_type_symbol
_atom_site_fract_x
_atom_site_fract_y
_atom_site_fract_z
Tb1 Tb 0.0000 0.0000 0.2062
Ho1 Ho 0.0000 0.0000 0.0000
Ho2 Ho 0.0009 0.5004 0.2087
Ho3 Ho 0.0025 0.5013 0.9549
```

---

Record 2
Structure and theoretical X-ray powder pattern of ThWCl (a DFT-relaxed cell (GGA-PBE, Alexandria); Cu Ka).
Neutral-atom scattering factors, no anomalous dispersion.

Largest 8 diffraction maxima, in order of rising 2θ, 2θ from 10° to 90°:
- 2θ = 11.3°, 7.865 Å, intensity 100.0, hkl 0 0 1
- 2θ = 29.6°, 3.015 Å, intensity 36.1, hkl 1 1 0
- 2θ = 33.6°, 2.667 Å, intensity 71.5, hkl 1 1 1
- 2θ = 34.2°, 2.620 Å, intensity 58.3, hkl 1 1 -2
- 2θ = 37.3°, 2.410 Å, intensity 23.8, hkl 2 0 -1
- 2θ = 41.3°, 2.186 Å, intensity 31.5, hkl 0 1 3
- 2θ = 45.8°, 1.980 Å, intensity 25.2, hkl 0 2 0
- 2θ = 64.6°, 1.443 Å, intensity 18.1, hkl 3 1 0

Crystal structure
```
data_ThWCl
_symmetry_space_group_name_H-M 'P 1 m 1'
_symmetry_Int_Tables_number 6
_cell_length_a 4.8229
_cell_length_b 3.9603
_cell_length_c 8.1568
_cell_angle_alpha 90.00
_cell_angle_beta 105.38
_cell_angle_gamma 90.00
loop_
_symmetry_equiv_pos_as_xyz
'x,y,z'
'x,-y,z'
loop_
_atom_site_label
_atom_site_type_symbol
_atom_site_fract_x
_atom_site_fract_y
_atom_site_fract_z
Th1 Th 0.0000 0.0000 0.0000
Th2 Th 0.2150 0.5000 0.4011
W1 W 0.5341 0.5000 0.1010
W2 W 0.6836 0.0000 0.2917
Cl1 Cl 0.0118 0.0000 0.6130
Cl2 Cl 0.5886 0.5000 0.7840
```

---

Record 3
Structure and theoretical X-ray powder pattern of CaNdAs2 (a DFT-relaxed cell (GGA-PBE, Alexandria); Cu Ka).
Neutral-atom scattering factors, no anomalous dispersion.

Largest 8 diffraction maxima, in order of rising 2θ, 2θ from 10° to 90°:
- 2θ = 12.7°, 6.978 Å, intensity 33.5, hkl 0 0 3
- 2θ = 25.4°, 3.512 Å, intensity 74.9, hkl 0 1 2
- 2θ = 32.1°, 2.784 Å, intensity 100.0, hkl 0 1 5
- 2θ = 38.6°, 2.333 Å, intensity 51.7, hkl 1 0 7
- 2θ = 42.0°, 2.153 Å, intensity 57.4, hkl 1 1 0
- 2θ = 53.8°, 1.703 Å, intensity 22.7, hkl 2 0 5
- 2θ = 69.3°, 1.355 Å, intensity 24.4, hkl 1 1 12
- 2θ = 70.5°, 1.336 Å, intensity 19.9, hkl 1 2 5

Crystal structure
```
data_CaNdAs2
_symmetry_space_group_name_H-M 'R 3 m'
_symmetry_Int_Tables_number 160
_symmetry_space_group_name_Hall 'R 3 -2"'
_cell_length_a 4.3053
_cell_length_b 4.3053
_cell_length_c 20.9334
_cell_angle_alpha 90.00
_cell_angle_beta 90.00
_cell_angle_gamma 120.00
loop_
_atom_site_label
_atom_site_type_symbol
_atom_site_fract_x
_atom_site_fract_y
_atom_site_fract_z
Ca1 Ca 0.0000 0.0000 0.0000
Nd1 Nd 0.0000 0.0000 0.1733
As1 As 0.0000 0.0000 0.5864
As2 As 0.0000 0.0000 0.7560
```

---

Record 4
Structure and theoretical X-ray powder pattern of Ho4Tl3H (a DFT-relaxed cell (GGA-PBE, Alexandria); Cu Ka).
Neutral-atom scattering factors, no anomalous dispersion.

Largest 8 diffraction maxima, in order of rising 2θ, 2θ from 10° to 90°:
- 2θ = 19.3°, 4.601 Å, intensity 40.7, hkl 0 2 1
- 2θ = 29.8°, 2.995 Å, intensity 58.4, hkl 1 1 2
- 2θ = 31.9°, 2.801 Å, intensity 56.7, hkl 0 3 2
- 2θ = 32.7°, 2.738 Å, intensity 100.0, hkl 1 3 0
- 2θ = 33.3°, 2.694 Å, intensity 90.4, hkl 1 2 2
- 2θ = 36.3°, 2.476 Å, intensity 76.8, hkl 1 0 3
- 2θ = 39.0°, 2.307 Å, intensity 56.8, hkl 0 3 3
- 2θ = 42.1°, 2.145 Å, intensity 52.9, hkl 2 0 0

Crystal structure
```
data_Ho4Tl3H
_symmetry_space_group_name_H-M 'P m m n'
_symmetry_Int_Tables_number 59
_cell_length_a 4.2905
_cell_length_b 10.6693
_cell_length_c 9.0934
_cell_angle_alpha 90.00
_cell_angle_beta 90.00
_cell_angle_gamma 90.00
loop_
_symmetry_equiv_pos_as_xyz
'x,y,z'
'-x,-y,-z'
'-x+1/2,-y+1/2,z'
'x+1/2,y+1/2,-z'
'x+1/2,-y,-z'
'-x+1/2,y,z'
'-x,y+1/2,-z'
'x,-y+1/2,z'
loop_
_atom_site_label
_atom_site_type_symbol
_atom_site_fract_x
_atom_site_fract_y
_atom_site_fract_z
Ho1 Ho 0.2500 0.0705 0.1949
Ho2 Ho 0.2500 0.2500 0.8317
Ho3 Ho 0.2500 0.7500 0.5532
Tl1 Tl 0.2500 0.0564 0.5958
Tl2 Tl 0.2500 0.7500 0.9385
H1 H 0.2500 0.2500 0.3314
```

---

Record 5
Structure and theoretical X-ray powder pattern of La6CeSmDy2 (a DFT-relaxed cell (GGA-PBE, Alexandria); Cu Ka).
Neutral-atom scattering factors, no anomalous dispersion.

Largest 8 diffraction maxima, in order of rising 2θ, 2θ from 10° to 90°:
- 2θ = 28.0°, 3.184 Å, intensity 38.3, hkl 1 1 2
- 2θ = 30.3°, 2.953 Å, intensity 100.0, hkl 2 2 -1
- 2θ = 31.0°, 2.886 Å, intensity 67.3, hkl 4 0 -2
- 2θ = 31.5°, 2.838 Å, intensity 46.6, hkl 3 1 1
- 2θ = 32.7°, 2.741 Å, intensity 40.1, hkl 1 1 -3
- 2θ = 33.9°, 2.646 Å, intensity 37.2, hkl 2 2 1
- 2θ = 52.4°, 1.747 Å, intensity 31.7, hkl 4 0 -5
- 2θ = 57.9°, 1.592 Å, intensity 22.7, hkl 2 2 4

Crystal structure
```
data_La6CeSmDy2
_symmetry_space_group_name_H-M 'C 1 2/m 1'
_symmetry_Int_Tables_number 12
_cell_length_a 12.2674
_cell_length_b 6.8686
_cell_length_c 9.0183
_cell_angle_alpha 90.00
_cell_angle_beta 110.13
_cell_angle_gamma 90.00
loop_
_symmetry_equiv_pos_as_xyz
'x,y,z'
'-x,-y,-z'
'-x,y,-z'
'x,-y,z'
'x+1/2,y+1/2,z'
'-x+1/2,-y+1/2,-z'
'-x+1/2,y+1/2,-z'
'x+1/2,-y+1/2,z'
loop_
_atom_site_label
_atom_site_type_symbol
_atom_site_fract_x
_atom_site_fract_y
_atom_site_fract_z
La1 La 0.1469 0.2404 0.3082
La2 La 0.1636 0.0000 0.9158
Ce1 Ce 0.0000 0.0000 0.5000
Sm1 Sm 0.0000 0.5000 0.0000
Dy1 Dy 0.1021 0.5000 0.6786
```

---

Record 6
Structure and theoretical X-ray powder pattern of SrNp2RuN4 (a DFT-relaxed cell (GGA-PBE, Alexandria); Cu Ka).
Neutral-atom scattering factors, no anomalous dispersion.

Largest 8 diffraction maxima, in order of rising 2θ, 2θ from 10° to 90°:
- 2θ = 16.9°, 5.246 Å, intensity 54.6, hkl 0 2 1
- 2θ = 27.4°, 3.257 Å, intensity 84.3, hkl 0 2 3
- 2θ = 30.5°, 2.933 Å, intensity 83.7, hkl 0 4 0
- 2θ = 31.3°, 2.862 Å, intensity 100.0, hkl 1 1 2
- 2θ = 35.7°, 2.513 Å, intensity 83.0, hkl 1 1 3
- 2θ = 38.2°, 2.355 Å, intensity 90.4, hkl 1 3 2
- 2θ = 41.4°, 2.182 Å, intensity 45.3, hkl 0 2 5
- 2θ = 52.8°, 1.734 Å, intensity 72.5, hkl 1 5 3

Crystal structure
```
data_SrNp2RuN4
_symmetry_space_group_name_H-M 'C m c m'
_symmetry_Int_Tables_number 63
_symmetry_space_group_name_Hall '-C 2c 2'
_cell_length_a 3.4126
_cell_length_b 11.7260
_cell_length_c 11.7520
_cell_angle_alpha 90.00
_cell_angle_beta 90.00
_cell_angle_gamma 90.00
loop_
_atom_site_label
_atom_site_type_symbol
_atom_site_fract_x
_atom_site_fract_y
_atom_site_fract_z
Sr1 Sr 0.0000 0.0956 0.2500
Np1 Np 0.0000 0.3690 0.0545
Ru1 Ru 0.0000 0.1697 0.7500
N1 N 0.0000 0.0000 0.0000
N2 N 0.0000 0.2601 0.5969
N3 N 0.0000 0.4321 0.2500
```

---

Record 7
Structure and theoretical X-ray powder pattern of Ti5Ni2Pt (a DFT-relaxed cell (GGA-PBE, Alexandria); Cu Ka).
Neutral-atom scattering factors, no anomalous dispersion.

Largest 8 diffraction maxima, in order of rising 2θ, 2θ from 10° to 90°:
- 2θ = 20.0°, 4.446 Å, intensity 38.0, hkl 1 1 0
- 2θ = 24.5°, 3.627 Å, intensity 100.0, hkl 1 1 2
- 2θ = 28.4°, 3.139 Å, intensity 43.9, hkl 0 0 4
- 2θ = 35.0°, 2.562 Å, intensity 59.2, hkl 1 1 4
- 2θ = 38.6°, 2.333 Å, intensity 98.9, hkl 2 1 3
- 2θ = 40.6°, 2.221 Å, intensity 97.2, hkl 2 0 4
- 2θ = 45.6°, 1.988 Å, intensity 92.8, hkl 3 1 0
- 2θ = 48.1°, 1.893 Å, intensity 40.8, hkl 1 1 6

Crystal structure
```
data_Ti5Ni2Pt
_symmetry_space_group_name_H-M 'I 4/m c m'
_symmetry_Int_Tables_number 140
_symmetry_space_group_name_Hall '-I 4 2c'
_cell_length_a 6.2875
_cell_length_b 6.2875
_cell_length_c 12.5414
_cell_angle_alpha 90.00
_cell_angle_beta 90.00
_cell_angle_gamma 90.00
loop_
_atom_site_label
_atom_site_type_symbol
_atom_site_fract_x
_atom_site_fract_y
_atom_site_fract_z
Ti1 Ti 0.0000 0.0000 0.0000
Ti2 Ti 0.1615 0.3385 0.1504
Ni1 Ni 0.1336 0.3664 0.5000
Pt1 Pt 0.0000 0.0000 0.2500
```

---

Record 8
Structure and theoretical X-ray powder pattern of Mg3P2O8 (a DFT-relaxed cell (GGA-PBE, Alexandria); Cu Ka).
Neutral-atom scattering factors, no anomalous dispersion.

Largest 8 diffraction maxima, in order of rising 2θ, 2θ from 10° to 90°:
- 2θ = 18.8°, 4.722 Å, intensity 100.0, hkl 0 1 1
- 2θ = 19.1°, 4.648 Å, intensity 39.0, hkl 1 1 0
- 2θ = 28.2°, 3.162 Å, intensity 60.8, hkl 1 1 1
- 2θ = 32.1°, 2.789 Å, intensity 38.7, hkl 1 0 -2
- 2θ = 33.0°, 2.716 Å, intensity 94.6, hkl 0 3 1
- 2θ = 34.1°, 2.633 Å, intensity 39.1, hkl 2 1 -1
- 2θ = 56.6°, 1.627 Å, intensity 35.3, hkl 1 3 -3
- 2θ = 57.6°, 1.600 Å, intensity 30.8, hkl 1 4 2

Crystal structure
```
data_Mg3P2O8
_symmetry_space_group_name_H-M 'P 1 21/c 1'
_symmetry_Int_Tables_number 14
_cell_length_a 5.5978
_cell_length_b 9.3924
_cell_length_c 5.7178
_cell_angle_alpha 90.00
_cell_angle_beta 107.17
_cell_angle_gamma 90.00
loop_
_symmetry_equiv_pos_as_xyz
'x,y,z'
'-x,-y,-z'
'-x,y+1/2,-z+1/2'
'x,-y+1/2,z+1/2'
loop_
_atom_site_label
_atom_site_type_symbol
_atom_site_fract_x
_atom_site_fract_y
_atom_site_fract_z
Mg1 Mg 0.0000 0.0000 0.0000
Mg2 Mg 0.3558 0.1396 0.6018
P1 P 0.2281 0.6388 0.0720
O1 O 0.0079 0.2329 0.4942
O2 O 0.2357 0.5295 0.2798
O3 O 0.2563 0.5422 0.8535
O4 O 0.4728 0.7276 0.1355
```

---

Record 9
Structure and theoretical X-ray powder pattern of CsZnBi2 (a DFT-relaxed cell (GGA-PBE, Alexandria); Cu Ka).
Neutral-atom scattering factors, no anomalous dispersion.

Largest 8 diffraction maxima, in order of rising 2θ, 2θ from 10° to 90°:
- 2θ = 12.5°, 7.109 Å, intensity 75.7, hkl 0 0 3
- 2θ = 20.3°, 4.375 Å, intensity 35.7, hkl 1 0 1
- 2θ = 26.0°, 3.426 Å, intensity 56.8, hkl 1 0 4
- 2θ = 28.9°, 3.086 Å, intensity 94.2, hkl 0 1 5
- 2θ = 34.8°, 2.581 Å, intensity 100.0, hkl 1 1 0
- 2θ = 37.1°, 2.426 Å, intensity 35.6, hkl 1 1 3
- 2θ = 43.3°, 2.089 Å, intensity 34.0, hkl 1 1 6
- 2θ = 47.2°, 1.925 Å, intensity 42.5, hkl 1 0 10

Crystal structure
```
data_CsZnBi2
_symmetry_space_group_name_H-M 'R -3 m'
_symmetry_Int_Tables_number 166
_symmetry_space_group_name_Hall '-R 3 2"'
_cell_length_a 5.1621
_cell_length_b 5.1621
_cell_length_c 21.3276
_cell_angle_alpha 90.00
_cell_angle_beta 90.00
_cell_angle_gamma 120.00
loop_
_atom_site_label
_atom_site_type_symbol
_atom_site_fract_x
_atom_site_fract_y
_atom_site_fract_z
Cs1 Cs 0.0000 0.0000 0.0000
Zn1 Zn 0.0000 0.0000 0.5000
Bi1 Bi 0.0000 0.0000 0.1989
```